(1)
Structure and computed XRD peak list of Ba9Nd2S12 (the GGA-PBE geometry in Alexandria; Cu Kα (λ = 1.5418 Å)).

Structure:
abc: 7.759 7.759 14.720
angles: 95.04 95.04 119.99
Atoms (fractional coordinates):
Ba 0.000 0.000 0.000
Ba 0.099 0.420 0.262
Ba 0.258 0.258 0.738
Ba 0.331 0.669 0.000
Ba 0.420 0.099 0.262
Ba 0.580 0.901 0.738
Ba 0.669 0.331 0.000
Ba 0.742 0.742 0.262
Ba 0.901 0.580 0.738
Nd 0.167 0.833 0.500
Nd 0.833 0.167 0.500
S 0.044 0.711 0.133
S 0.095 0.095 0.391
S 0.168 0.536 0.609
S 0.289 0.956 0.867
S 0.376 0.376 0.127
S 0.464 0.832 0.391
S 0.536 0.168 0.609
S 0.624 0.624 0.873
S 0.711 0.044 0.133
S 0.832 0.464 0.391
S 0.905 0.905 0.609
S 0.956 0.289 0.867

Principal peaks in the range 2θ from 10° to 90°, by angle:
2θ/deg, I (rel.)
24.36, 47.9
24.57, 15.0
28.26, 100.0
40.27, 37.1
40.53, 34.0
47.74, 16.3
49.92, 18.9
65.99, 15.7
66.37, 13.3
73.37, 10.8

(2)
Structure and computed XRD peak list of Cu2AgPd5 (the GGA-PBE geometry in Alexandria; Cu Kα (λ = 1.5418 Å)).

Structure:
abc: 5.522 5.522 5.538
angles: 120.06 120.06 89.57
Atoms (fractional coordinates):
Cu 0.000 0.500 0.000
Cu 0.500 0.000 0.000
Ag 0.000 0.000 0.000
Pd 0.000 0.000 0.500
Pd 0.000 0.500 0.500
Pd 0.500 0.000 0.500
Pd 0.500 0.500 0.000
Pd 0.500 0.500 0.500

Principal peaks in the range 2θ from 10° to 90°, by angle:
2θ/deg, I (rel.)
39.93, 100.0
46.30, 32.4
46.71, 15.8
67.46, 5.0
67.88, 19.8
81.38, 11.8
81.53, 11.7
82.05, 11.5
86.04, 5.2
86.23, 5.1

(3)
Structure and computed XRD peak list of Na3Tl7Cd2 (the GGA-PBE geometry in Alexandria; Cu Kα (λ = 1.5418 Å)).

Structure:
abc: 5.554 3.559 17.954
angles: 90.00 98.81 90.00
Atoms (fractional coordinates):
Na 0.000 0.000 0.000
Na 0.308 0.500 0.632
Na 0.692 0.500 0.368
Tl 0.089 0.500 0.145
Tl 0.231 0.000 0.459
Tl 0.388 0.000 0.808
Tl 0.500 0.500 0.000
Tl 0.612 0.000 0.192
Tl 0.769 0.000 0.541
Tl 0.911 0.500 0.855
Cd 0.161 0.000 0.294
Cd 0.839 0.000 0.706

Principal peaks in the range 2θ from 10° to 90°, by angle:
2θ/deg, I (rel.)
14.98, 39.2
25.53, 34.1
32.09, 43.3
32.24, 69.0
32.43, 100.0
34.78, 32.4
36.68, 19.3
41.12, 24.7
57.60, 19.3
59.32, 18.9

(4)
Structure and computed XRD peak list of PmPuZn17 (the GGA-PBE geometry in Alexandria; Cu Kα (λ = 1.5418 Å)).

Structure:
abc: 6.826 6.826 6.826
angles: 82.66 82.66 82.66
Atoms (fractional coordinates):
Pm 0.000 0.000 0.000
Pu 0.330 0.330 0.330
Zn 0.019 0.019 0.502
Zn 0.019 0.502 0.019
Zn 0.165 0.665 0.665
Zn 0.314 0.314 0.824
Zn 0.314 0.824 0.314
Zn 0.370 0.664 0.960
Zn 0.370 0.960 0.664
Zn 0.502 0.019 0.019
Zn 0.565 0.565 0.565
Zn 0.664 0.370 0.960
Zn 0.664 0.960 0.370
Zn 0.665 0.165 0.665
Zn 0.665 0.665 0.165
Zn 0.763 0.763 0.763
Zn 0.824 0.314 0.314
Zn 0.960 0.370 0.664
Zn 0.960 0.664 0.370

Principal peaks in the range 2θ from 10° to 90°, by angle:
2θ/deg, I (rel.)
28.29, 36.7
34.46, 41.4
35.55, 25.0
40.00, 59.5
40.22, 100.0
40.90, 46.3
41.18, 20.9
58.54, 23.4
72.67, 23.1
73.99, 19.8

(5)
Structure and computed XRD peak list of Ba2Sn2Sb2As (the GGA-PBE geometry in Alexandria; Cu Kα (λ = 1.5418 Å)).

Structure:
abc: 4.579 6.995 8.552
angles: 94.13 105.50 109.10
Atoms (fractional coordinates):
Ba 0.224 0.164 0.285
Ba 0.776 0.836 0.715
Sn 0.373 0.633 0.112
Sn 0.627 0.367 0.888
Sb 0.002 0.632 0.370
Sb 0.998 0.368 0.630
As 0.500 0.000 0.000

Principal peaks in the range 2θ from 10° to 90°, by angle:
2θ/deg, I (rel.)
27.16, 100.0
27.69, 37.0
28.17, 14.9
31.36, 12.9
37.17, 37.2
38.21, 11.5
39.36, 25.3
41.10, 15.1
48.80, 15.5
64.15, 10.7

(6)
Structure and computed XRD peak list of BaRh2SF (the GGA-PBE geometry in Alexandria; Cu Kα (λ = 1.5418 Å)).

Structure:
abc: 5.432 5.432 4.639
angles: 90.00 90.00 90.00
Atoms (fractional coordinates):
Ba 0.000 0.000 0.000
Rh 0.000 0.500 0.000
Rh 0.500 0.000 0.000
S 0.500 0.500 0.500
F 0.000 0.000 0.500

Principal peaks in the range 2θ from 10° to 90°, by angle:
2θ/deg, I (rel.)
16.32, 46.8
19.13, 100.0
25.25, 52.3
32.98, 97.4
38.41, 68.9
38.82, 30.7
47.33, 34.2
51.50, 29.8
51.83, 51.8
62.82, 28.6

(7)
Structure and computed XRD peak list of HoPuZnIn (the GGA-PBE geometry in Alexandria; Cu Kα (λ = 1.5418 Å)).

Structure:
abc: 5.216 5.216 5.216
angles: 60.00 60.00 60.00
Atoms (fractional coordinates):
Ho 0.000 0.000 0.000
Pu 0.500 0.500 0.500
Zn 0.750 0.750 0.750
In 0.250 0.250 0.250

Principal peaks in the range 2θ from 10° to 90°, by angle:
2θ/deg, I (rel.)
20.86, 4.6
24.13, 15.1
34.38, 100.0
42.45, 4.8
49.42, 18.0
55.72, 6.9
61.59, 37.2
72.48, 11.5
77.66, 3.5
82.74, 16.3

(8)
Structure and computed XRD peak list of Fe7Ge3 (the GGA-PBE geometry in Alexandria; Cu Kα (λ = 1.5418 Å)).

Structure:
abc: 6.616 6.616 5.005
angles: 107.62 107.62 35.21
Atoms (fractional coordinates):
Fe 0.000 0.000 0.000
Fe 0.196 0.196 0.764
Fe 0.395 0.395 0.607
Fe 0.401 0.401 0.105
Fe 0.599 0.599 0.895
Fe 0.605 0.605 0.393
Fe 0.804 0.804 0.236
Ge 0.000 0.000 0.500
Ge 0.200 0.200 0.257
Ge 0.800 0.800 0.743

Principal peaks in the range 2θ from 10° to 90°, by angle:
2θ/deg, I (rel.)
43.97, 91.8
44.11, 100.0
45.35, 87.3
61.98, 15.5
66.07, 24.7
80.04, 14.1
80.28, 7.8
82.76, 22.0
82.86, 14.2
83.04, 12.2